Record 1
The following is a calculated XRD peak list of ZrMo2O8. It was derived from a cell relaxed with PBE+U, using Cu Kα (weighted mean of Kα1 and Kα2).
Kinematic intensities with the Lorentz-polarization factor, no thermal factor.

Most intense lines, 5° ≤ 2θ ≤ 70°, sorted by position:
2θ (°)	I/Imax
14.20	76.0
25.49	38.3
27.76	63.4
28.62	100.0
32.49	37.3
47.01	32.6

Crystal structure
a = 11.6345 Å, b = 8.0759 Å, c = 7.6150 Å
α = 90.00°, β = 122.44°, γ = 90.00°
Space group C2/c (No. 15)
Symmetry-distinct sites (fractional):
Zr1 0.0000 0.0210 0.2500 (multiplicity 4)
Mo1 0.2156 0.2791 0.7593 (multiplicity 8)
O1 0.0927 0.1146 0.5780 (multiplicity 8)
O2 0.1288 0.4620 0.6679 (multiplicity 8)
O3 0.1487 0.1992 0.2888 (multiplicity 8)
O4 0.1537 0.1631 0.9376 (multiplicity 8)

***

Record 2
The following is a calculated XRD peak list of Na16W3N4O12. It was derived from a cell relaxed with PBE+U, using Cu Kα (weighted mean of Kα1 and Kα2).
Kinematic intensities with the Lorentz-polarization factor, no thermal factor.

Most intense lines, 5° ≤ 2θ ≤ 70°, sorted by position:
2θ (°)	I/Imax
16.61	100.0
18.40	66.7
18.82	77.9
19.01	75.9
21.95	65.6
31.80	61.8

Crystal structure
a = 6.8701 Å, b = 9.0325 Å, c = 10.0198 Å
α = 73.01°, β = 89.63°, γ = 77.65°
Space group P1 (No. 1)
Symmetry-distinct sites (fractional):
Na1 0.0000 0.0000 0.0000 (multiplicity 1)
Na2 0.0007 0.9708 0.5000 (multiplicity 1)
Na3 0.1216 0.6074 0.6070 (multiplicity 1)
Na4 0.1924 0.2062 0.1601 (multiplicity 1)
Na5 0.3416 0.7580 0.7585 (multiplicity 1)
Na6 0.3551 0.7813 0.3308 (multiplicity 1)
Na7 0.4040 0.4220 0.3939 (multiplicity 1)
Na8 0.4148 0.3792 0.9066 (multiplicity 1)
Na9 0.5111 0.9376 0.0172 (multiplicity 1)
Na10 0.5241 0.9382 0.5130 (multiplicity 1)
Na11 0.6219 0.5743 0.1248 (multiplicity 1)
Na12 0.6927 0.2109 0.6408 (multiplicity 1)
Na13 0.7881 0.7524 0.3528 (multiplicity 1)
Na14 0.8123 0.8232 0.7674 (multiplicity 1)
Na15 0.8929 0.4133 0.8768 (multiplicity 1)
Na16 0.8995 0.4063 0.4034 (multiplicity 1)
W1 0.0972 0.6391 0.0510 (multiplicity 1)
W2 0.2207 0.1458 0.7372 (multiplicity 1)
W3 0.7159 0.1502 0.2264 (multiplicity 1)
N1 0.1335 0.4671 0.2018 (multiplicity 1)
N2 0.1897 0.3183 0.5876 (multiplicity 1)
N3 0.6232 0.4358 0.7287 (multiplicity 1)
N4 0.6862 0.3251 0.0787 (multiplicity 1)
O1 0.0160 0.0379 0.7367 (multiplicity 1)
O2 0.1224 0.5771 0.8880 (multiplicity 1)
O3 0.1976 0.2012 0.9060 (multiplicity 1)
O4 0.2841 0.7632 0.0501 (multiplicity 1)
O5 0.2855 0.8108 0.5358 (multiplicity 1)
O6 0.4782 0.0145 0.7508 (multiplicity 1)
O7 0.5213 0.0376 0.2087 (multiplicity 1)
O8 0.6127 0.5833 0.3349 (multiplicity 1)
O9 0.7010 0.1967 0.3972 (multiplicity 1)
O10 0.8269 0.7850 0.5623 (multiplicity 1)
O11 0.8400 0.7708 0.0334 (multiplicity 1)
O12 0.9706 0.0284 0.2217 (multiplicity 1)

***

Record 3
The following is a calculated XRD peak list of Na5WNO4. It was derived from a cell relaxed with PBE+U, using Cu Kα (weighted mean of Kα1 and Kα2).
Kinematic intensities with the Lorentz-polarization factor, no thermal factor.

Most intense lines, 5° ≤ 2θ ≤ 70°, sorted by position:
2θ (°)	I/Imax
16.46	34.1
19.42	100.0
24.30	27.4
30.56	22.8
32.02	24.1
40.01	29.4

Crystal structure
a = 9.9937 Å, b = 5.8472 Å, c = 10.7720 Å
α = 90.00°, β = 90.00°, γ = 90.00°
Space group Cmc2_1 (No. 36)
Symmetry-distinct sites (fractional):
Na1 0.0000 0.0714 0.0000 (multiplicity 4)
Na2 0.1853 0.1508 0.2334 (multiplicity 8)
Na3 0.1915 0.4846 0.4834 (multiplicity 8)
W1 0.0000 0.2918 0.7221 (multiplicity 4)
N1 0.0000 0.4024 0.1975 (multiplicity 4)
O1 0.1360 0.2199 0.8512 (multiplicity 8)
O2 0.1370 0.1752 0.6057 (multiplicity 8)